No. 1
Theoretical powder XRD pattern of BiPdCl6 for a wavelength of 1.5418 Å, from a structure optimized by DFT (GGA-PBE).
Kinematic intensities with the Lorentz-polarization factor, no thermal factor.

Structure:
Cell: 5.291 6.336 7.634 Å, 111.35 91.16 112.62°
Space group P1 (No. 1)
One atom of each set of equivalent atoms:
Bi (0.000, 0.000, 0.000) (multiplicity 1)
Pd (0.005, 0.000, 0.501) (multiplicity 1)
Cl (0.154, 0.318, 0.815) (multiplicity 1)
Cl (0.158, 0.312, 0.381) (multiplicity 1)
Cl (0.501, 0.002, 0.010) (multiplicity 1)
Cl (0.505, 0.000, 0.503) (multiplicity 1)
Cl (0.851, 0.687, 0.620) (multiplicity 1)
Cl (0.855, 0.682, 0.186) (multiplicity 1)

Top 12 peaks for 10° ≤ 2θ ≤ 90°, low angle first:
- 2θ 16.6, rel. 100.0, (0 1 0)
- 2θ 18.5, rel. 76.3, (1 0 0)
- 2θ 18.9, rel. 67.7, (1 -1 0)
- 2θ 24.2, rel. 31.8, (0 1 -2)
- 2θ 25.5, rel. 39.1, (0 0 2)
- 2θ 33.0, rel. 56.9, (0 2 -2)
- 2θ 33.9, rel. 44.8, (2 -1 0)
- 2θ 34.5, rel. 31.9, (-1 1 2)
- 2θ 35.9, rel. 36.5, (0 1 2)
- 2θ 37.5, rel. 14.1, (2 0 0)
- 2θ 42.6, rel. 18.4, (1 2 -2)
- 2θ 47.1, rel. 16.6, (2 1 -2)


No. 2
Theoretical powder XRD pattern of Bi12PtCl12 for a wavelength of 1.5418 Å, from a structure optimized by DFT (GGA-PBE).
Kinematic intensities with the Lorentz-polarization factor, no thermal factor.

Structure:
Cell: 9.208 9.264 9.363 Å, 89.48 89.88 87.92°
Space group P1 (No. 1)
One atom of each set of equivalent atoms:
Bi (0.000, 0.000, 0.000) (multiplicity 1)
Bi (0.002, 0.333, 0.745) (multiplicity 1)
Bi (0.074, 0.244, 0.323) (multiplicity 1)
Bi (0.077, 0.581, 0.071) (multiplicity 1)
Bi (0.323, 0.793, 0.591) (multiplicity 1)
Bi (0.332, 0.251, 0.992) (multiplicity 1)
Bi (0.495, 0.547, 0.438) (multiplicity 1)
Bi (0.509, 0.831, 0.301) (multiplicity 1)
Bi (0.580, 0.025, 0.589) (multiplicity 1)
Bi (0.584, 0.786, 0.795) (multiplicity 1)
Bi (0.744, 0.333, 0.075) (multiplicity 1)
Bi (0.761, 0.736, 0.514) (multiplicity 1)
Pt (0.038, 0.291, 0.034) (multiplicity 1)
Cl (0.034, 0.636, 0.777) (multiplicity 1)
Cl (0.041, 0.947, 0.291) (multiplicity 1)
Cl (0.110, 0.542, 0.369) (multiplicity 1)
Cl (0.299, 0.948, 0.965) (multiplicity 1)
Cl (0.303, 0.287, 0.695) (multiplicity 1)
Cl (0.376, 0.211, 0.288) (multiplicity 1)
Cl (0.376, 0.544, 0.023) (multiplicity 1)
Cl (0.700, 0.364, 0.780) (multiplicity 1)
Cl (0.701, 0.039, 0.053) (multiplicity 1)
Cl (0.775, 0.292, 0.373) (multiplicity 1)
Cl (0.778, 0.635, 0.109) (multiplicity 1)
Cl (0.968, 0.040, 0.699) (multiplicity 1)

Top 12 peaks for 10° ≤ 2θ ≤ 90°, low angle first:
- 2θ 13.3, rel. 54.8, (1 1 0)
- 2θ 13.5, rel. 100.0, (0 1 -1)
- 2θ 13.8, rel. 32.1, (1 -1 0)
- 2θ 23.3, rel. 33.4, (2 1 1)
- 2θ 23.5, rel. 25.8, (-1 1 2)
- 2θ 23.9, rel. 18.1, (1 -2 1)
- 2θ 30.2, rel. 53.1, (1 3 0)
- 2θ 30.3, rel. 34.5, (0 1 -3)
- 2θ 30.4, rel. 24.2, (0 3 1)
- 2θ 30.7, rel. 28.2, (3 0 -1)
- 2θ 31.0, rel. 20.1, (3 -1 0)
- 2θ 33.2, rel. 18.9, (2 2 -2)


No. 3
Theoretical powder XRD pattern of Co10Bi for a wavelength of 1.5418 Å, from a structure optimized by DFT (GGA-PBE).
Kinematic intensities with the Lorentz-polarization factor, no thermal factor.

Structure:
Cell: 7.798 3.501 28.156 Å, 90.00 90.12 90.00°
Space group C2/m (No. 12)
One atom of each set of equivalent atoms:
Co (0.049, 0.000, 0.180) (multiplicity 4)
Co (0.049, 0.000, 0.903) (multiplicity 4)
Co (0.050, 0.500, 0.041) (multiplicity 4)
Co (0.051, 0.500, 0.765) (multiplicity 4)
Co (0.148, 0.000, 0.261) (multiplicity 4)
Co (0.149, 0.500, 0.847) (multiplicity 4)
Co (0.150, 0.000, 0.986) (multiplicity 4)
Co (0.152, 0.500, 0.125) (multiplicity 4)
Co (0.247, 0.500, 0.208) (multiplicity 4)
Co (0.250, 0.000, 0.069) (multiplicity 4)
Bi (0.149, 0.000, 0.691) (multiplicity 4)

Top 12 peaks for 10° ≤ 2θ ≤ 90°, low angle first:
- 2θ 15.7, rel. 29.1, (0 0 5)
- 2θ 23.0, rel. 27.9, (2 0 1)
- 2θ 26.1, rel. 28.2, (2 0 -4)
- 2θ 28.7, rel. 25.6, (1 1 2)
- 2θ 35.9, rel. 27.5, (1 1 7)
- 2θ 42.8, rel. 91.3, (1 1 10)
- 2θ 44.5, rel. 100.0, (3 1 -3)
- 2θ 45.3, rel. 95.7, (3 1 -4)
- 2θ 45.4, rel. 75.0, (1 1 11)
- 2θ 51.1, rel. 34.9, (2 0 -14)
- 2θ 52.2, rel. 41.3, (4 0 7)
- 2θ 52.3, rel. 45.1, (0 2 0)


No. 4
Theoretical powder XRD pattern of Co7Bi for a wavelength of 1.5418 Å, from a structure optimized by DFT (GGA-PBE).
Kinematic intensities with the Lorentz-polarization factor, no thermal factor.

Structure:
Cell: 2.768 3.267 33.968 Å, 90.00 90.00 90.00°
Space group Pmmn (No. 59, origin choice 2)
One atom of each set of equivalent atoms:
Co (0.250, 0.250, 0.018) (multiplicity 2)
Co (0.250, 0.250, 0.091) (multiplicity 2)
Co (0.250, 0.250, 0.164) (multiplicity 2)
Co (0.250, 0.250, 0.237) (multiplicity 2)
Co (0.250, 0.250, 0.800) (multiplicity 2)
Co (0.250, 0.250, 0.872) (multiplicity 2)
Co (0.250, 0.250, 0.945) (multiplicity 2)
Bi (0.250, 0.250, 0.709) (multiplicity 2)

Top 12 peaks for 10° ≤ 2θ ≤ 90°, low angle first:
- 2θ 10.4, rel. 38.8, (0 0 4)
- 2θ 13.0, rel. 33.9, (0 0 5)
- 2θ 18.3, rel. 22.0, (0 0 7)
- 2θ 27.4, rel. 18.4, (0 1 1)
- 2θ 31.6, rel. 26.0, (0 1 6)
- 2θ 40.2, rel. 20.3, (0 1 11)
- 2θ 42.8, rel. 100.0, (1 1 0)
- 2θ 44.4, rel. 54.0, (0 1 13)
- 2θ 47.9, rel. 43.0, (1 0 13)
- 2θ 56.3, rel. 24.1, (0 2 0)
- 2θ 77.0, rel. 20.0, (1 2 13)
- 2θ 84.6, rel. 16.7, (2 1 13)


No. 5
Theoretical powder XRD pattern of Co7Bi for a wavelength of 1.5418 Å, from a structure optimized by DFT (GGA-PBE).
Kinematic intensities with the Lorentz-polarization factor, no thermal factor.

Structure:
Cell: 2.846 2.846 31.728 Å, 90.00 90.00 90.00°
Space group P4/nmm (No. 129, origin choice 2)
One atom of each set of equivalent atoms:
Co (0.250, 0.250, 0.019) (multiplicity 2)
Co (0.250, 0.250, 0.105) (multiplicity 2)
Co (0.250, 0.250, 0.187) (multiplicity 2)
Co (0.250, 0.250, 0.273) (multiplicity 2)
Co (0.250, 0.250, 0.772) (multiplicity 2)
Co (0.250, 0.250, 0.855) (multiplicity 2)
Co (0.250, 0.250, 0.938) (multiplicity 2)
Bi (0.250, 0.250, 0.665) (multiplicity 2)

Top 12 peaks for 10° ≤ 2θ ≤ 90°, low angle first:
- 2θ 16.8, rel. 39.1, (0 0 6)
- 2θ 31.6, rel. 26.7, (1 0 1)
- 2θ 31.9, rel. 31.1, (1 0 2)
- 2θ 33.5, rel. 21.6, (1 0 4)
- 2θ 34.5, rel. 34.3, (1 0 5)
- 2θ 39.0, rel. 42.8, (1 0 8)
- 2θ 42.7, rel. 37.1, (0 0 15)
- 2θ 44.7, rel. 81.4, (1 0 11)
- 2θ 45.1, rel. 100.0, (1 1 0)
- 2θ 46.9, rel. 65.0, (1 0 12)
- 2θ 65.6, rel. 30.5, (2 0 0)
- 2θ 82.9, rel. 25.9, (2 1 11)


No. 6
Theoretical powder XRD pattern of FeCoNiBi for a wavelength of 1.5418 Å, from a structure optimized by DFT (GGA-PBE).
Kinematic intensities with the Lorentz-polarization factor, no thermal factor.

Structure:
Cell: 6.122 6.122 6.122 Å, 90.00 90.00 90.00°
Space group F-43m (No. 216)
One atom of each set of equivalent atoms:
Fe (0.000, 0.000, 0.000) (multiplicity 4)
Co (0.250, 0.250, 0.750) (multiplicity 4)
Ni (0.000, 0.000, 0.500) (multiplicity 4)
Bi (0.250, 0.250, 0.250) (multiplicity 4)

Top 10 peaks for 10° ≤ 2θ ≤ 90°, low angle first:
- 2θ 25.2, rel. 32.8, (1 1 1)
- 2θ 29.2, rel. 17.3, (2 0 0)
- 2θ 41.7, rel. 100.0, (2 2 0)
- 2θ 49.4, rel. 17.7, (3 1 1)
- 2θ 51.7, rel. 5.2, (2 2 2)
- 2θ 60.5, rel. 16.3, (4 0 0)
- 2θ 66.6, rel. 7.7, (3 3 1)
- 2θ 68.6, rel. 7.1, (4 2 0)
- 2θ 76.2, rel. 32.8, (4 2 2)
- 2θ 81.7, rel. 6.3, (5 1 1)